No. 1
Computed XRD peak list
Compound: Zr5SiPb3
Radiation: Cu Kα (weighted mean of Kα1 and Kα2)
Structure: a GGA-PBE-relaxed structure

Atomic structure:
```
Zr5SiPb3
1.0
8.922 0.000 0.000
-4.461 7.727 0.000
0.000 0.000 6.086
Zr Si Pb
10 2 6
direct
0.000 0.253 0.250
0.000 0.747 0.750
0.253 0.000 0.250
0.253 0.253 0.750
0.333 0.667 0.000
0.333 0.667 0.500
0.667 0.333 0.000
0.667 0.333 0.500
0.747 0.000 0.750
0.747 0.747 0.250
0.000 0.000 0.000
0.000 0.000 0.500
0.000 0.395 0.750
0.000 0.605 0.250
0.395 0.000 0.750
0.395 0.395 0.250
0.605 0.000 0.250
0.605 0.605 0.750
```

Principal peaks in the range 2θ = 15–90°, in order of rising 2θ:
Position (°2θ)  I/Imax
24.75  37
29.35  29
34.05  100
34.83  57
35.72  76
44.84  42
55.13  25
63.08  22

=====

No. 2
Computed XRD peak list
Compound: Cs3TbF6
Radiation: Cu Kα (weighted mean of Kα1 and Kα2)
Structure: a GGA-PBE-relaxed structure

Atomic structure:
```
Cs3TbF6
1.0
0.000 5.049 5.049
5.049 0.000 5.049
5.049 5.049 0.000
Cs Tb F
3 1 6
direct
0.000 0.000 0.000
0.250 0.250 0.250
0.750 0.750 0.750
0.500 0.500 0.500
0.282 0.282 0.718
0.282 0.718 0.282
0.282 0.718 0.718
0.718 0.282 0.282
0.718 0.282 0.718
0.718 0.718 0.282
```

Principal peaks in the range 2θ = 15–90°, in order of rising 2θ:
Position (°2θ)  I/Imax
24.94  100
35.56  32
43.93  42
51.17  21
57.74  21
69.68  24
80.75  11
86.13  9

=====

No. 3
Computed XRD peak list
Compound: Cu3S2
Radiation: Cu Kα (weighted mean of Kα1 and Kα2)
Structure: a GGA-PBE-relaxed structure

Atomic structure:
```
Cu3S2
1.0
3.473 0.000 0.000
0.000 3.473 0.000
0.000 0.000 5.934
Cu S
3 2
direct
0.000 0.000 0.000
0.000 0.500 0.330
0.500 0.000 0.670
0.000 0.500 0.732
0.500 0.000 0.268
```

Principal peaks in the range 2θ = 15–90°, in order of rising 2θ:
Position (°2θ)  I/Imax
29.81  73
36.60  49
39.73  87
39.97  64
45.88  36
48.10  100
52.72  65
72.43  33

=====

No. 4
Computed XRD peak list
Compound: BaTi4ZnO8
Radiation: Cu Kα (weighted mean of Kα1 and Kα2)
Structure: a GGA-PBE-relaxed structure

Atomic structure:
```
BaTi4ZnO8
1.0
5.875 0.000 0.000
-2.937 5.088 0.000
0.000 0.000 8.658
Ba Ti Zn O
1 4 1 8
direct
0.000 0.000 0.000
0.333 0.667 0.214
0.333 0.667 0.786
0.667 0.333 0.214
0.667 0.333 0.786
0.000 0.000 0.500
0.000 0.378 0.250
0.000 0.622 0.750
0.333 0.667 0.000
0.378 0.000 0.250
0.378 0.378 0.750
0.622 0.000 0.750
0.622 0.622 0.250
0.667 0.333 0.000
```

Principal peaks in the range 2θ = 15–90°, in order of rising 2θ:
Position (°2θ)  I/Imax
27.05  100
30.43  64
32.18  19
41.16  22
52.04  28
52.52  17
54.08  20
70.15  14

=====

No. 5
Computed XRD peak list
Compound: NdAl7Au3
Radiation: Cu Kα (weighted mean of Kα1 and Kα2)
Structure: a GGA-PBE-relaxed structure

Atomic structure:
```
NdAl7Au3
1.0
4.080 2.356 7.089
-4.080 2.356 7.089
0.000 -4.711 7.089
Nd Al Au
2 14 6
direct
0.000 0.000 0.000
0.500 0.500 0.500
0.069 0.853 0.668
0.147 0.332 0.931
0.168 0.353 0.569
0.250 0.250 0.250
0.332 0.931 0.147
0.353 0.569 0.168
0.431 0.832 0.647
0.569 0.168 0.353
0.647 0.431 0.832
0.668 0.069 0.853
0.750 0.750 0.750
0.832 0.647 0.431
0.853 0.668 0.069
0.931 0.147 0.332
0.071 0.750 0.429
0.250 0.571 0.929
0.429 0.071 0.750
0.571 0.929 0.250
0.750 0.429 0.071
0.929 0.250 0.571
```

Principal peaks in the range 2θ = 15–90°, in order of rising 2θ:
Position (°2θ)  I/Imax
25.18  100
33.49  33
38.21  36
44.30  31
46.30  44
61.54  17
65.96  17
66.07  11

=====

No. 6
Computed XRD peak list
Compound: NdFe4B4
Radiation: Cu Kα (weighted mean of Kα1 and Kα2)
Structure: a GGA-PBE-relaxed structure

Atomic structure:
```
NdFe4B4
1.0
7.055 0.000 0.000
0.000 7.055 0.000
0.000 0.000 3.809
Nd Fe B
2 8 8
direct
0.250 0.250 0.250
0.750 0.750 0.750
0.118 0.862 0.143
0.138 0.618 0.643
0.362 0.882 0.643
0.382 0.638 0.143
0.618 0.362 0.857
0.638 0.118 0.357
0.862 0.382 0.357
0.882 0.138 0.857
0.048 0.585 0.144
0.085 0.952 0.644
0.415 0.548 0.644
0.452 0.915 0.144
0.548 0.085 0.856
0.585 0.452 0.356
0.915 0.048 0.356
0.952 0.415 0.856
```

Principal peaks in the range 2θ = 15–90°, in order of rising 2θ:
Position (°2θ)  I/Imax
25.25  29
26.60  54
36.00  16
37.00  100
40.43  71
49.58  16
52.58  31
71.27  18

=====

No. 7
Computed XRD peak list
Compound: Sr3Co2N4
Radiation: Cu Kα (weighted mean of Kα1 and Kα2)
Structure: a GGA-PBE-relaxed structure

Atomic structure:
```
Sr3Co2N4
1.0
5.879 0.000 0.000
0.000 9.744 0.000
0.000 0.000 9.423
Sr Co N
12 8 16
direct
0.105 0.156 0.083
0.105 0.344 0.417
0.250 0.000 0.400
0.250 0.500 0.100
0.395 0.656 0.417
0.395 0.844 0.083
0.605 0.156 0.917
0.605 0.344 0.583
0.750 0.000 0.600
0.750 0.500 0.900
0.895 0.656 0.583
0.895 0.844 0.917
0.150 0.250 0.750
0.250 0.000 0.733
0.250 0.500 0.767
0.350 0.750 0.750
0.650 0.250 0.250
0.750 0.000 0.267
0.750 0.500 0.233
0.850 0.750 0.250
0.004 0.093 0.827
0.004 0.407 0.673
0.147 0.647 0.872
0.147 0.853 0.628
0.353 0.147 0.628
0.353 0.353 0.872
0.496 0.593 0.673
0.496 0.907 0.827
0.504 0.093 0.173
0.504 0.407 0.327
0.647 0.647 0.128
0.647 0.853 0.372
0.853 0.147 0.372
0.853 0.353 0.128
0.996 0.593 0.327
0.996 0.907 0.173
```

Principal peaks in the range 2θ = 15–90°, in order of rising 2θ:
Position (°2θ)  I/Imax
29.08  72
30.44  23
31.80  41
32.31  100
33.22  29
33.63  58
36.94  97
50.29  29